# K2ZnRhO4
Theoretical PXRD pattern, a wavelength of 1.5418 Å. Input: a cell relaxed with GGA-PBE.
Kinematic intensities with the Lorentz-polarization factor, no thermal factor.

```
data_K2ZnRhO4
_chemical_formula_sum 'K16 Zn8 Rh8 O32'
_cell_length_a 5.787
_cell_length_b 12.191
_cell_length_c 18.163
_cell_angle_alpha 90.00
_cell_angle_beta 90.00
_cell_angle_gamma 90.00
_space_group_name_H-M_alt 'F d d d'
_space_group_IT_number 70
loop_
_space_group_symop_operation_xyz
'x,y,z'
'-x,-y,-z'
'-x+1/4,-y+1/4,z'
'x+1/4,y+1/4,-z'
'x,-y+1/4,-z+1/4'
'-x,y+1/4,z+1/4'
'-x+1/4,y,-z+1/4'
'x+1/4,-y,z+1/4'
'x,y+1/2,z+1/2'
'-x,-y+1/2,-z+1/2'
'-x+1/4,-y+3/4,z+1/2'
'x+1/4,y+3/4,-z+1/2'
'x,-y+3/4,-z+3/4'
'-x,y+3/4,z+3/4'
'-x+1/4,y+1/2,-z+3/4'
'x+1/4,-y+1/2,z+3/4'
'x+1/2,y,z+1/2'
'-x+1/2,-y,-z+1/2'
'-x+3/4,-y+1/4,z+1/2'
'x+3/4,y+1/4,-z+1/2'
'x+1/2,-y+1/4,-z+3/4'
'-x+1/2,y+1/4,z+3/4'
'-x+3/4,y,-z+3/4'
'x+3/4,-y,z+3/4'
'x+1/2,y+1/2,z'
'-x+1/2,-y+1/2,-z'
'-x+3/4,-y+3/4,z'
'x+3/4,y+3/4,-z'
'x+1/2,-y+3/4,-z+1/4'
'-x+1/2,y+3/4,z+1/4'
'-x+3/4,y+1/2,-z+1/4'
'x+3/4,-y+1/2,z+1/4'
loop_
_atom_site_label
_atom_site_fract_x
_atom_site_fract_y
_atom_site_fract_z
_atom_site_occupancy
K1 0.125 0.125 0.307 1
Zn1 0.125 0.125 0.625 1
Rh1 0.125 0.125 0.125 1
O1 0.115 0.286 0.417 1
```

Main lines, by intensity (2θ = 10–90°):
(0 2 2), 17.52°, I 100; (0 0 4), 19.55°, I 70; (0 2 6), 33.04°, I 56; (2 2 0), 34.31°, I 44; (0 4 0), 29.31°, I 30; (2 4 6), 53.11°, I 27; (2 2 4), 39.79°, I 27; (2 0 6), 43.26°, I 26; (2 4 2), 44.30°, I 21; (2 6 0), 55.25°, I 20